The following is a computed PXRD pattern of Tb14PrEr. It was derived from a GGA-PBE-relaxed structure, using Cu Kα (weighted mean of Kα1 and Kα2).
Kinematic intensities with the Lorentz-polarization factor, no thermal factor.

Principal peaks in the range 5 to 70 degrees two-theta, in order of rising 2θ:
2θ/deg, intensity, hkl
28.8, 8, 0 0 4
29.8, 42, 1 0 4
31.0, 34, 4 0 0
32.8, 100, 2 2 2
37.3, 23, 3 0 4
49.2, 11, 5 0 4
51.0, 26, 0 4 0
56.3, 22, 6 2 2
60.9, 30, 4 4 0
62.0, 16, 2 0 8

```
data_Tb14PrEr
_cell_length_a 11.531
_cell_length_b 7.161
_cell_length_c 12.403
_cell_angle_alpha 90.00
_cell_angle_beta 90.00
_cell_angle_gamma 90.00
_symmetry_space_group_name_H-M 'A m m 2'
_symmetry_Int_Tables_number 38
loop_
_symmetry_equiv_pos_as_xyz
'x,y,z'
'-x,-y,z'
'-x,y,z'
'x,-y,z'
'x,y+1/2,z+1/2'
'-x,-y+1/2,z+1/2'
'-x,y+1/2,z+1/2'
'x,-y+1/2,z+1/2'
loop_
_atom_site_label
_atom_site_type_symbol
_atom_site_fract_x
_atom_site_fract_y
_atom_site_fract_z
Tb1 Tb 0.000 0.000 0.000
Tb2 Tb 0.000 0.000 0.500
Tb3 Tb 0.000 0.250 0.250
Tb4 Tb 0.248 0.000 0.167
Tb5 Tb 0.249 0.250 0.417
Tb6 Tb 0.251 0.000 0.667
Tb7 Tb 0.500 0.250 0.084
Pr1 Pr 0.500 0.000 0.334
Er1 Er 0.500 0.000 0.834
```

The following is a computed PXRD pattern of Pa2PRh3. It was derived from a GGA-PBE-relaxed structure, using Cu Kα (weighted mean of Kα1 and Kα2).
Kinematic intensities with the Lorentz-polarization factor, no thermal factor.

Principal peaks in the range 5 to 70 degrees two-theta, in order of rising 2θ:
2θ/deg, intensity, hkl
23.0, 47, 0 2 2
34.3, 100, 2 2 2
36.3, 68, 2 0 4
38.6, 32, 0 4 0
44.0, 42, 0 2 6
51.4, 19, 4 0 0
54.0, 39, 2 4 4
66.0, 13, 4 4 0
67.0, 13, 2 6 2
69.9, 21, 4 2 6

```
data_Pa2PRh3
_cell_length_a 7.114
_cell_length_b 9.341
_cell_length_c 13.754
_cell_angle_alpha 90.00
_cell_angle_beta 90.00
_cell_angle_gamma 90.00
_symmetry_space_group_name_H-M 'F m m m'
_symmetry_Int_Tables_number 69
_symmetry_space_group_name_Hall '-F 2 2'
loop_
_atom_site_label
_atom_site_type_symbol
_atom_site_fract_x
_atom_site_fract_y
_atom_site_fract_z
Pa1 Pa 0.248 0.000 0.000
Pa2 Pa 0.250 0.250 0.250
P1 P 0.000 0.000 0.180
Rh1 Rh 0.000 0.000 0.353
Rh2 Rh 0.000 0.223 0.098
```

The following is a computed PXRD pattern of HgPRh. It was derived from a GGA-PBE-relaxed structure, using Cu Kα (weighted mean of Kα1 and Kα2).
Kinematic intensities with the Lorentz-polarization factor, no thermal factor.

Principal peaks in the range 5 to 70 degrees two-theta, in order of rising 2θ:
2θ/deg, intensity, hkl
14.2, 27, 0 0 1
28.7, 19, 0 0 2
32.1, 19, 1 0 0
35.3, 100, 1 0 1
43.6, 54, 0 1 2
55.2, 15, 1 0 3
57.3, 20, 1 1 0
59.4, 6, 1 1 1
65.3, 11, 1 1 2
69.1, 29, 0 2 1

```
data_HgPRh
_cell_length_a 3.2160
_cell_length_b 3.2160
_cell_length_c 6.2231
_cell_angle_alpha 90.00
_cell_angle_beta 90.00
_cell_angle_gamma 120.00
_symmetry_space_group_name_H-M 'P 3 m 1'
_symmetry_Int_Tables_number 156
loop_
_symmetry_equiv_pos_as_xyz
'x,y,z'
'-y,x-y,z'
'-x+y,-x,z'
'-y,-x,z'
'-x+y,y,z'
'x,x-y,z'
loop_
_atom_site_label
_atom_site_type_symbol
_atom_site_fract_x
_atom_site_fract_y
_atom_site_fract_z
Hg1 Hg 0.0000 0.0000 0.0000
P1 P 0.6667 0.3333 0.4200
Rh1 Rh 0.3333 0.6667 0.6346
```

The following is a computed PXRD pattern of YTlP2Se6. It was derived from a GGA-PBE-relaxed structure, using Cu Kα (weighted mean of Kα1 and Kα2).
Kinematic intensities with the Lorentz-polarization factor, no thermal factor.

Principal peaks in the range 5 to 70 degrees two-theta, in order of rising 2θ:
2θ/deg, intensity, hkl
24.8, 55, 0 2 1
28.8, 100, 0 2 2
29.6, 54, 2 1 -1
30.1, 77, 2 1 1
30.5, 40, 1 1 -3
31.5, 37, 1 2 -2
33.8, 36, 2 1 2
33.9, 45, 0 0 4
34.6, 42, 0 2 3
36.0, 51, 2 2 -1

```
data_YTlP2Se6
_cell_length_a 6.841
_cell_length_b 7.639
_cell_length_c 10.571
_cell_angle_alpha 90.00
_cell_angle_beta 92.06
_cell_angle_gamma 90.00
_symmetry_space_group_name_H-M 'P 1 21 1'
_symmetry_Int_Tables_number 4
loop_
_symmetry_equiv_pos_as_xyz
'x,y,z'
'-x,y+1/2,-z'
loop_
_atom_site_label
_atom_site_type_symbol
_atom_site_fract_x
_atom_site_fract_y
_atom_site_fract_z
Y1 Y 0.216 0.000 0.002
Tl1 Tl 0.317 0.218 0.505
P1 P 0.194 0.730 0.288
P2 P 0.318 0.511 0.171
Se1 Se 0.066 0.309 0.835
Se2 Se 0.080 0.311 0.166
Se3 Se 0.158 0.635 0.478
Se4 Se 0.372 0.637 0.983
Se5 Se 0.401 0.916 0.749
Se6 Se 0.405 0.943 0.264
```

The following is a computed PXRD pattern of Tb5Pm3Sc. It was derived from a GGA-PBE-relaxed structure, using Cu Kα (weighted mean of Kα1 and Kα2).
Kinematic intensities with the Lorentz-polarization factor, no thermal factor.

Principal peaks in the range 5 to 70 degrees two-theta, in order of rising 2θ:
2θ/deg, intensity, hkl
28.8, 72, 2 1 3
29.2, 51, 2 2 0
30.9, 100, 2 0 4
32.8, 30, 3 1 0
38.0, 21, 3 2 1
43.5, 22, 4 0 2
46.7, 29, 0 0 8
52.9, 18, 4 2 4
56.1, 18, 2 2 8
59.5, 15, 5 1 4

```
data_Tb5Pm3Sc
_cell_length_a 8.644
_cell_length_b 8.644
_cell_length_c 15.541
_cell_angle_alpha 90.00
_cell_angle_beta 90.00
_cell_angle_gamma 90.00
_symmetry_space_group_name_H-M 'I 4/m c m'
_symmetry_Int_Tables_number 140
_symmetry_space_group_name_Hall '-I 4 2c'
loop_
_atom_site_label
_atom_site_type_symbol
_atom_site_fract_x
_atom_site_fract_y
_atom_site_fract_z
Tb1 Tb 0.000 0.000 0.000
Tb2 Tb 0.207 0.293 0.141
Pm1 Pm 0.000 0.000 0.250
Pm2 Pm 0.119 0.381 0.500
Sc1 Sc 0.000 0.500 0.250
```

The following is a computed PXRD pattern of NaZrBr5. It was derived from a GGA-PBE-relaxed structure, using Cu Kα (weighted mean of Kα1 and Kα2).
Kinematic intensities with the Lorentz-polarization factor, no thermal factor.

Principal peaks in the range 5 to 70 degrees two-theta, in order of rising 2θ:
2θ/deg, intensity, hkl
12.7, 100, 0 1 1
16.0, 86, 0 0 2
18.3, 84, 1 0 1
19.9, 64, 0 2 0
25.1, 83, 1 1 2
31.1, 68, 0 3 1
32.3, 96, 0 0 4
33.3, 93, 2 0 0
34.4, 64, 1 3 0
47.1, 65, 2 0 4

```
data_NaZrBr5
_cell_length_a 5.383
_cell_length_b 8.931
_cell_length_c 11.076
_cell_angle_alpha 90.00
_cell_angle_beta 90.00
_cell_angle_gamma 90.00
_symmetry_space_group_name_H-M 'I m m m'
_symmetry_Int_Tables_number 71
_symmetry_space_group_name_Hall '-I 2 2'
loop_
_atom_site_label
_atom_site_type_symbol
_atom_site_fract_x
_atom_site_fract_y
_atom_site_fract_z
Na1 Na 0.000 0.000 0.000
Zr1 Zr 0.000 0.000 0.500
Br1 Br 0.000 0.000 0.266
Br2 Br 0.000 0.296 0.500
Br3 Br 0.000 0.500 0.000
```